This entry pairs a crystal structure of NdPuIr with its simulated X-ray powder pattern. Radiation: Cu Ka. Structure: a cell relaxed with PBE.

Most intense lines, 2θ from 10° to 90°, sorted by position:
two_theta	I_rel
18.61	18
30.76	89
33.92	100
37.46	49
37.74	45
42.14	52
42.70	29
54.23	35
58.29	24
67.17	33

Cell and atoms:
```
NdPuIr
1.0
-4.7669 6.3548 3.6657
4.7669 -6.3548 3.6657
4.7669 6.3548 -3.6657
Nd Pu Ir
6 6 6
Direct
0.9999 0.2500 0.2499
0.0001 0.7500 0.7501
0.1663 0.1246 0.5417
0.1656 0.6243 0.0413
0.5830 0.1243 0.9587
0.5830 0.6246 0.4583
0.3325 0.3325 0.0000
0.3325 0.8325 0.5000
0.5833 0.2087 0.3752
0.5833 0.7081 0.8746
0.8335 0.2081 0.6248
0.8335 0.7087 0.1254
0.2499 0.0831 0.1669
0.2499 0.5830 0.6668
0.5814 0.8321 0.2493
0.5828 0.3321 0.7507
0.9162 0.0830 0.8331
0.9162 0.5831 0.3332
```